Structure and calculated PXRD pattern of CaCuTe2I (DFT lattice parameters and positions (PBE); Cu Kα (λ = 1.5418 Å)).
Peak positions follow from Bragg's law for the DFT cell and can differ from measured ones.

Principal peaks in the range 10 to 90 degrees two-theta, in order of rising 2θ:
2θ 14.41, d = 6.145 Å, rel. 23, hkl 0 0 1
2θ 17.49, d = 5.071 Å, rel. 32, hkl 1 0 0
2θ 28.83, d = 3.097 Å, rel. 100, hkl 1 1 1
2θ 29.06, d = 3.073 Å, rel. 48, hkl 0 0 2
2θ 35.40, d = 2.535 Å, rel. 57, hkl 2 0 0
2θ 46.43, d = 1.956 Å, rel. 52, hkl 2 0 2
2θ 50.94, d = 1.793 Å, rel. 20, hkl 2 2 0
2θ 51.37, d = 1.779 Å, rel. 20, hkl 1 1 3
2θ 59.59, d = 1.552 Å, rel. 25, hkl 3 1 1
2θ 59.72, d = 1.548 Å, rel. 24, hkl 2 2 2
2θ 71.85, d = 1.314 Å, rel. 14, hkl 2 0 4
2θ 75.26, d = 1.263 Å, rel. 13, hkl 3 1 3

Structural model:
```
data_CaCuTe2I
_cell_length_a 5.071
_cell_length_b 5.071
_cell_length_c 6.145
_cell_angle_alpha 90.00
_cell_angle_beta 90.00
_cell_angle_gamma 90.00
_symmetry_space_group_name_H-M 'P 4/m m m'
_symmetry_Int_Tables_number 123
_symmetry_space_group_name_Hall '-P 4 2'
loop_
_atom_site_label
_atom_site_fract_x
_atom_site_fract_y
_atom_site_fract_z
Ca1 0.000 0.000 0.000
Cu1 0.500 0.500 0.500
Te1 0.000 0.500 0.500
I1 0.500 0.500 0.000
```

=====

Structure and calculated PXRD pattern of Mg14AlB (DFT lattice parameters and positions (PBE); Cu Kα (λ = 1.5418 Å)).
Peak positions follow from Bragg's law for the DFT cell and can differ from measured ones.

Principal peaks in the range 10 to 90 degrees two-theta, in order of rising 2θ:
2θ 32.44, d = 2.760 Å, rel. 19, hkl 0 2 2
2θ 33.03, d = 2.712 Å, rel. 17, hkl 0 0 4
2θ 36.74, d = 2.446 Å, rel. 29, hkl 4 0 0
2θ 37.42, d = 2.404 Å, rel. 100, hkl 2 2 2
2θ 37.93, d = 2.372 Å, rel. 36, hkl 2 0 4
2θ 49.81, d = 1.831 Å, rel. 9, hkl 4 2 2
2θ 57.51, d = 1.603 Å, rel. 9, hkl 0 4 0
2θ 58.62, d = 1.575 Å, rel. 14, hkl 0 2 6
2θ 66.61, d = 1.404 Å, rel. 11, hkl 6 2 2
2θ 70.21, d = 1.341 Å, rel. 8, hkl 4 4 0
2θ 70.97, d = 1.328 Å, rel. 10, hkl 2 4 4
2θ 71.21, d = 1.324 Å, rel. 12, hkl 4 2 6

Structural model:
```
data_Mg14AlB
_cell_length_a 9.785
_cell_length_b 6.410
_cell_length_c 10.849
_cell_angle_alpha 90.00
_cell_angle_beta 90.00
_cell_angle_gamma 90.00
_symmetry_space_group_name_H-M 'A m m 2'
_symmetry_Int_Tables_number 38
_symmetry_space_group_name_Hall 'A 2 -2'
loop_
_atom_site_label
_atom_site_fract_x
_atom_site_fract_y
_atom_site_fract_z
Mg1 0.000 0.000 0.000
Mg2 0.000 0.000 0.498
Mg3 0.000 0.250 0.243
Mg4 0.250 0.000 0.830
Mg5 0.255 0.000 0.328
Mg6 0.286 0.233 0.572
Mg7 0.500 0.244 0.275
Al1 0.500 0.000 0.998
B1 0.500 0.000 0.461
```